[1]
Starting from a cell relaxed with PBE+U, the powder XRD pattern of Li2Si2WO7 was calculated for Cu Kα X-rays.
Neutral-atom scattering factors, no anomalous dispersion.

Cell lengths 5.4406, 6.1716, 8.7750 Å; angles 70.46, 87.00, 84.80 degrees
Space group P-1 (No. 2)
One atom of each set of equivalent atoms:
Li: 0.2085 0.0584 0.3543
Li: 0.2475 0.1902 0.9686
Si: 0.1917 0.7286 0.8407
Si: 0.2901 0.2001 0.6305
W: 0.2653 0.5798 0.2203
O: 0.0779 0.3022 0.7298
O: 0.1010 0.3240 0.1467
O: 0.2138 0.9319 0.6584
O: 0.2414 0.8303 0.9885
O: 0.2813 0.3192 0.4356
O: 0.3906 0.5153 0.8459
O: 0.4340 0.8237 0.2976

Main lines, by angle (2θ = 10–90°):
2θ (°)  Rel. int.
15.3  504
19.4  150
19.8  221
21.5  1000
21.9  134
23.6  510
30.4  146
33.1  218
34.3  126
36.1  119
40.6  140
47.7  130


[2]
Starting from a cell relaxed with PBE+U, the powder XRD pattern of Gd2MoSe3O12 was calculated for Cu Kα X-rays.
Neutral-atom scattering factors, no anomalous dispersion.

Cell lengths 6.6618, 7.2191, 10.9986 Å; angles 85.19, 73.05, 86.42 degrees
Space group P-1 (No. 2)
One atom of each set of equivalent atoms:
Gd: 0.2060 0.1795 0.1670
Gd: 0.2681 0.3611 0.4905
Mo: 0.2780 0.1089 0.7923
Se: 0.2011 0.6593 0.2162
Se: 0.2105 0.8604 0.5075
Se: 0.3398 0.6409 0.8585
O: 0.0417 0.1894 0.3927
O: 0.0571 0.8701 0.1953
O: 0.0833 0.6025 0.3814
O: 0.1002 0.4969 0.1497
O: 0.1772 0.8322 0.8208
O: 0.2173 0.1694 0.9524
O: 0.2806 0.0386 0.5838
O: 0.3061 0.3275 0.7007
O: 0.3571 0.6635 0.5406
O: 0.4283 0.3477 0.2682
O: 0.4451 0.7321 0.9628
O: 0.4527 0.9723 0.2353

Main lines, by angle (2θ = 10–90°):
2θ (°)  Rel. int.
19.0  174
20.3  195
25.5  923
27.6  409
28.0  637
29.6  1000
31.0  193
32.1  328
35.0  241
35.9  191
39.1  171
49.7  167


[3]
Starting from a cell relaxed with PBE+U, the powder XRD pattern of KSrYWO6 was calculated for Cu Kα X-rays.
Neutral-atom scattering factors, no anomalous dispersion.

Cell lengths 8.3870, 8.3870, 8.3870 Å; angles 90.00, 90.00, 90.00 degrees
Space group F-43m (No. 216)
One atom of each set of equivalent atoms:
K: 0.0000 0.0000 0.0000
Sr: 0.0000 0.0000 0.5000
Y: 0.2500 0.2500 0.2500
W: 0.2500 0.2500 0.7500
O: 0.0172 0.2500 0.7500

Main lines, by angle (2θ = 10–90°):
2θ (°)  Rel. int.
18.3  196
21.2  281
30.1  1000
35.5  94
43.1  330
48.5  118
53.5  396
62.7  200
66.9  54
71.1  177
79.1  65
86.9  212


[4]
Starting from a cell relaxed with PBE+U, the powder XRD pattern of Li3MnCo2O6 was calculated for Cu Kα X-rays.
Neutral-atom scattering factors, no anomalous dispersion.

Cell lengths 3.0393, 6.0135, 12.4627 Å; angles 76.72, 88.27, 86.09 degrees
Space group P-1 (No. 2)
One atom of each set of equivalent atoms:
Li: 0.0000 0.0000 0.0000
Li: 0.0025 0.3343 0.3298
Li: 0.4960 0.1642 0.1683
Li: 0.5000 0.5000 0.5000
Mn: 0.0000 0.5000 0.0000
Mn: 0.5000 0.0000 0.5000
Co: 0.0118 0.1665 0.6664
Co: 0.4937 0.6681 0.1687
O: 0.0167 0.4328 0.1606
O: 0.0183 0.0996 0.8226
O: 0.0340 0.2392 0.5083
O: 0.4582 0.2575 0.9920
O: 0.4627 0.6023 0.3267
O: 0.4796 0.9325 0.6608

Main lines, by angle (2θ = 10–90°):
2θ (°)  Rel. int.
18.3  1000
34.0  198
36.1  131
36.7  168
40.8  317
43.9  247
44.8  230
61.1  78
61.9  76
62.3  147
63.9  64
65.2  63


[5]
Starting from a cell relaxed with PBE+U, the powder XRD pattern of MoH2O4 was calculated for Cu Kα X-rays.
Neutral-atom scattering factors, no anomalous dispersion.

Cell lengths 3.7643, 6.4258, 7.7072 Å; angles 67.62, 80.11, 75.40 degrees
Space group P1 (No. 1)
One atom of each set of equivalent atoms:
Mo: 0.0000 0.0000 0.0000
Mo: 0.4792 0.7158 0.4110
H: 0.0047 0.5151 0.0393
H: 0.2460 0.0577 0.5253
H: 0.2718 0.6245 0.8674
H: 0.6704 0.3097 0.3221
O: 0.0617 0.0959 0.7570
O: 0.1518 0.6358 0.9888
O: 0.3476 0.0293 0.4075
O: 0.4326 0.6002 0.6525
O: 0.5108 0.9125 0.0727
O: 0.6222 0.4346 0.3710
O: 0.8719 0.2545 0.0474
O: 0.9863 0.7671 0.3261

Main lines, by angle (2θ = 10–90°):
2θ (°)  Rel. int.
12.5  269
15.2  564
15.9  1000
25.1  335
26.1  343
26.6  453
28.6  260
28.8  258
30.7  170
32.2  148
38.0  181
44.6  164


[6]
Starting from a cell relaxed with PBE+U, the powder XRD pattern of Fe4O5F3 was calculated for Cu Kα X-rays.
Neutral-atom scattering factors, no anomalous dispersion.

Cell lengths 9.6678, 6.0216, 4.8080 Å; angles 90.00, 96.70, 90.00 degrees
Space group Cm (No. 8)
One atom of each set of equivalent atoms:
Fe: 0.0000 0.0000 0.0000
Fe: 0.0243 0.5000 0.9499
Fe: 0.2480 0.2557 0.5045
O: 0.0997 0.2401 0.1877
O: 0.1590 0.5000 0.6748
O: 0.4080 0.2580 0.7990
F: 0.1580 0.0000 0.6957
F: 0.3425 0.0000 0.3299
F: 0.3454 0.5000 0.2950

Main lines, by angle (2θ = 10–90°):
2θ (°)  Rel. int.
24.7  1000
27.8  833
35.2  865
39.0  164
50.6  421
50.7  281
54.1  225
54.2  225
57.5  137
61.6  139
66.1  188
66.4  186


[7]
Starting from a cell relaxed with PBE+U, the powder XRD pattern of Li9Mn2Co5O16 was calculated for Cu Kα X-rays.
Neutral-atom scattering factors, no anomalous dispersion.

Cell lengths 5.1381, 5.8175, 10.0885 Å; angles 89.30, 80.35, 72.63 degrees
Space group P1 (No. 1)
One atom of each set of equivalent atoms:
Li: 0.0000 0.0000 0.0000
Li: 0.9995 0.2358 0.7450
Li: 0.0008 0.7434 0.7425
Li: 0.0021 0.4853 0.4937
Li: 0.0033 0.7333 0.2447
Li: 0.0040 0.2452 0.2450
Li: 0.0040 0.9907 0.4921
Li: 0.0087 0.4758 0.0026
Li: 0.5025 0.3587 0.1196
Mn: 0.4988 0.8683 0.1194
Mn: 0.5043 0.6100 0.8745
Co: 0.5010 0.1209 0.3627
Co: 0.5023 0.1176 0.8733
Co: 0.5042 0.3636 0.6193
Co: 0.5040 0.8688 0.6173
Co: 0.5072 0.6037 0.3629
O: 0.2636 0.4158 0.3154
O: 0.2666 0.1723 0.5610
O: 0.2696 0.9196 0.2941
O: 0.2756 0.6653 0.5560
O: 0.2778 0.1572 0.0511
O: 0.2813 0.4264 0.8167
O: 0.2825 0.6825 0.0495
O: 0.2881 0.9200 0.8099
O: 0.7206 0.8071 0.9357
O: 0.7252 0.0664 0.6921
O: 0.7265 0.8126 0.4371
O: 0.7272 0.3082 0.9252
O: 0.7300 0.5632 0.6933
O: 0.7296 0.5697 0.1874
O: 0.7308 0.0345 0.1797
O: 0.7387 0.2993 0.4341

Main lines, by angle (2θ = 10–90°):
2θ (°)  Rel. int.
18.4  1000
35.9  136
36.2  132
36.5  128
37.8  111
43.3  283
43.7  275
44.2  268
62.9  75
63.2  73
63.5  145
64.0  74


[8]
Starting from a cell relaxed with PBE+U, the powder XRD pattern of La2CoO4 was calculated for Cu Kα X-rays.
Neutral-atom scattering factors, no anomalous dispersion.

Cell lengths 13.3282, 3.8986, 3.8992 Å; angles 90.00, 106.95, 90.00 degrees
Space group C2/m (No. 12)
One atom of each set of equivalent atoms:
La: 0.1378 0.0000 0.1382
Co: 0.0000 0.5000 0.5000
O: 0.0000 0.0000 0.5000
O: 0.0000 0.5000 0.0000
O: 0.1818 0.5000 0.6819

Main lines, by angle (2θ = 10–90°):
2θ (°)  Rel. int.
23.9  278
28.0  131
31.1  1000
32.5  727
42.4  224
43.4  314
46.6  366
55.7  123
57.1  366
64.8  116
68.0  188
77.4  114


Copy entry 8 word for word.
Starting from a cell relaxed with PBE+U, the powder XRD pattern of La2CoO4 was calculated for Cu Kα X-rays.
Neutral-atom scattering factors, no anomalous dispersion.

Cell lengths 13.3282, 3.8986, 3.8992 Å; angles 90.00, 106.95, 90.00 degrees
Space group C2/m (No. 12)
One atom of each set of equivalent atoms:
La: 0.1378 0.0000 0.1382
Co: 0.0000 0.5000 0.5000
O: 0.0000 0.0000 0.5000
O: 0.0000 0.5000 0.0000
O: 0.1818 0.5000 0.6819

Main lines, by angle (2θ = 10–90°):
2θ (°)  Rel. int.
23.9  278
28.0  131
31.1  1000
32.5  727
42.4  224
43.4  314
46.6  366
55.7  123
57.1  366
64.8  116
68.0  188
77.4  114


Q: Number 2 is which compound?
A: Gd2MoSe3O12